Structure and simulated XRD peak list of BaMoAsO6 (the GGA+U geometry in Alexandria; CuKα).
No peak broadening, texture or thermal motion is included.

Principal peaks in the range 2θ = 10–80°, by intensity:
- hkl 1 0 1, 25.0°, d 3.562, rel. 1000
- hkl 2 -1 2, 46.9°, d 1.937, rel. 392
- hkl 1 1 0, 34.2°, d 2.619, rel. 294
- hkl 3 -1 1, 56.0°, d 1.643, rel. 204
- hkl 2 0 1, 42.9°, d 2.110, rel. 182
- hkl 1 0 3, 51.8°, d 1.766, rel. 106
- hkl 0 0 2, 31.1°, d 2.877, rel. 98
- hkl 2 0 3, 63.5°, d 1.464, rel. 95
- hkl 3 0 0, 61.3°, d 1.512, rel. 92
- hkl 3 1 1, 77.7°, d 1.229, rel. 86

Structural model:
Unit cell a=5.2387 b=5.2387 c=5.7532 alpha=90.00 beta=90.00 gamma=120.00
Space group P312 (No. 149)
Symmetry-distinct sites (fractional):
Ba1 0.0000 0.0000 0.0000 [1 per cell]
Mo1 0.6667 0.3333 0.5000 [1 per cell]
As1 0.3333 0.6667 0.5000 [1 per cell]
O1 0.0172 0.4088 0.6903 [6 per cell]